1.
Starting from a DFT-relaxed cell (PBE, Alexandria), the powder diffraction line list of Nd2Sn3SbPt4 was calculated for Cu Kα (λ = 1.5418 Å).
Intensities are scaled so that the largest is 100.

Largest 8 diffraction maxima, low angle first, 10° ≤ 2θ ≤ 90°:
31.9°, rel. 59
32.0°, rel. 100
38.6°, rel. 84
44.0°, rel. 48
50.9°, rel. 32
55.8°, rel. 29
65.8°, rel. 33
73.6°, rel. 22

Structural model:
```
Nd2Sn3SbPt4
1.0
4.660 0.000 0.000
0.000 4.660 0.000
0.000 0.000 10.558
Nd Sn Sb Pt
2 3 1 4
direct
0.000 0.500 0.235
0.500 0.000 0.765
0.000 0.500 0.873
0.500 0.000 0.127
0.500 0.500 0.500
0.000 0.000 0.500
0.000 0.000 0.000
0.000 0.500 0.626
0.500 0.000 0.374
0.500 0.500 0.000
```

2.
Starting from a DFT-relaxed cell (PBE, Alexandria), the powder diffraction line list of FeCo10B3 was calculated for Cu Kα (λ = 1.5418 Å).
Intensities are scaled so that the largest is 100.

Largest 8 diffraction maxima, low angle first, 10° ≤ 2θ ≤ 90°:
34.6°, rel. 13
38.8°, rel. 40
42.7°, rel. 23
45.4°, rel. 100
49.7°, rel. 19
52.1°, rel. 45
78.1°, rel. 20
85.1°, rel. 13

Structural model:
```
FeCo10B3
1.0
0.000 5.192 5.192
5.192 0.000 5.192
5.192 5.192 0.000
Fe Co B
2 20 6
direct
0.250 0.250 0.250
0.750 0.750 0.750
0.000 0.000 0.337
0.000 0.000 0.663
0.000 0.337 0.000
0.000 0.337 0.663
0.000 0.663 0.000
0.000 0.663 0.337
0.142 0.619 0.619
0.337 0.000 0.000
0.337 0.000 0.663
0.337 0.663 0.000
0.381 0.381 0.381
0.381 0.381 0.858
0.381 0.858 0.381
0.619 0.142 0.619
0.619 0.619 0.142
0.619 0.619 0.619
0.663 0.000 0.000
0.663 0.000 0.337
0.663 0.337 0.000
0.858 0.381 0.381
0.276 0.276 0.724
0.276 0.724 0.276
0.276 0.724 0.724
0.724 0.276 0.276
0.724 0.276 0.724
0.724 0.724 0.276
```